[1]
Zr4FeCo3: calculated XRD peak list (copper Kα), based on the PBE geometry in Alexandria.

Crystal structure
abc: 7.1215 7.1215 7.1215
angles: 143.00 143.00 53.33
Fractional positions:
Zr 0.1246 0.6246 0.5000
Zr 0.3754 0.8754 0.5000
Zr 0.6246 0.1246 0.5000
Zr 0.8754 0.3754 0.5000
Fe 0.0000 0.0000 0.0000
Co 0.2499 0.2499 0.0000
Co 0.5000 0.5000 0.0000
Co 0.7501 0.7501 0.0000

The 6 most intense peaks (2θ from 10° to 90°), sorted by position:
2theta, d/Å, Rel. int.
40.0, 2.257, 100
57.7, 1.598, 11
58.0, 1.591, 5
72.5, 1.304, 21
72.7, 1.301, 10
86.3, 1.127, 7

---

[2]
DyCo4P4: calculated XRD peak list (copper Kα), based on the PBE geometry in Alexandria.

Crystal structure
abc: 5.6669 5.6669 7.2841
angles: 90.00 90.00 90.00
Fractional positions:
Dy 0.2500 0.7500 0.2500
Dy 0.7500 0.2500 0.7500
Co 0.0258 0.2500 0.1298
Co 0.2500 0.0258 0.6298
Co 0.2500 0.4742 0.6298
Co 0.4742 0.2500 0.1298
Co 0.5258 0.7500 0.8702
Co 0.7500 0.5258 0.3702
Co 0.7500 0.9742 0.3702
Co 0.9742 0.7500 0.8702
P 0.0335 0.2500 0.4307
P 0.2500 0.0335 0.9307
P 0.2500 0.4665 0.9307
P 0.4665 0.2500 0.4307
P 0.5335 0.7500 0.5693
P 0.7500 0.5335 0.0693
P 0.7500 0.9665 0.0693
P 0.9665 0.7500 0.5693

The 6 most intense peaks (2θ from 10° to 90°), sorted by position:
2theta, d/Å, Rel. int.
31.6, 2.833, 14
33.2, 2.695, 25
37.6, 2.394, 100
40.4, 2.233, 48
62.3, 1.491, 18
69.8, 1.348, 15

---

[3]
ErHgBPt4: calculated XRD peak list (copper Kα), based on the PBE geometry in Alexandria.

Crystal structure
abc: 7.4356 7.4356 7.4356
angles: 60.00 60.00 60.00
Fractional positions:
Er 0.0000 0.0000 0.0000
Hg 0.7500 0.7500 0.7500
B 0.2500 0.2500 0.2500
Pt 0.1426 0.1426 0.1426
Pt 0.1426 0.1426 0.5723
Pt 0.1426 0.5723 0.1426
Pt 0.5723 0.1426 0.1426

The 6 most intense peaks (2θ from 10° to 90°), sorted by position:
2theta, d/Å, Rel. int.
14.6, 6.071, 100
23.9, 3.718, 52
28.1, 3.171, 69
29.4, 3.036, 62
37.3, 2.412, 61
44.8, 2.024, 60

---

[4]
Pu2GaB2Ir5: calculated XRD peak list (copper Kα), based on the PBE geometry in Alexandria.

Crystal structure
abc: 9.4977 9.4977 3.3026
angles: 90.00 90.00 90.00
Fractional positions:
Pu 0.1773 0.3227 0.0000
Pu 0.3227 0.8227 0.0000
Pu 0.6773 0.1773 0.0000
Pu 0.8227 0.6773 0.0000
Ga 0.0000 0.0000 0.0000
Ga 0.5000 0.5000 0.0000
B 0.1212 0.6212 0.0000
B 0.3788 0.1212 0.0000
B 0.6212 0.8788 0.0000
B 0.8788 0.3788 0.0000
Ir 0.0000 0.5000 0.5000
Ir 0.0688 0.7813 0.5000
Ir 0.2187 0.0688 0.5000
Ir 0.2813 0.5688 0.5000
Ir 0.4312 0.2813 0.5000
Ir 0.5000 0.0000 0.5000
Ir 0.5688 0.7187 0.5000
Ir 0.7187 0.4312 0.5000
Ir 0.7813 0.9312 0.5000
Ir 0.9312 0.2187 0.5000

The 6 most intense peaks (2θ from 10° to 90°), sorted by position:
2theta, d/Å, Rel. int.
34.4, 2.607, 100
38.2, 2.355, 34
39.1, 2.304, 94
40.6, 2.222, 90
44.0, 2.059, 37
70.1, 1.342, 48

---

[5]
Pa2Se4Cl: calculated XRD peak list (copper Kα), based on the PBE geometry in Alexandria.

Crystal structure
abc: 8.8743 8.8743 8.8743
angles: 126.88 74.56 131.76
Fractional positions:
Pa 0.0000 0.0000 0.0000
Pa 0.0000 0.5000 0.5000
Pa 0.2106 0.1598 0.5509
Pa 0.6089 0.6598 0.4491
Se 0.2820 0.0358 0.7463
Se 0.2895 0.5358 0.2537
Se 0.3306 0.1385 0.2100
Se 0.3306 0.6206 0.6921
Se 0.6606 0.5181 0.6425
Se 0.8756 0.0181 0.3575
Se 0.9285 0.1206 0.7900
Se 0.9285 0.6385 0.3079
Cl 0.7178 0.0749 0.1429
Cl 0.9320 0.5749 0.8571

The 6 most intense peaks (2θ from 10° to 90°), sorted by position:
2theta, d/Å, Rel. int.
12.8, 6.918, 100
13.7, 6.451, 62
26.4, 3.380, 61
33.5, 2.677, 47
35.9, 2.503, 62
41.1, 2.194, 75

---

[6]
Nd12Tl3Bi: calculated XRD peak list (copper Kα), based on the PBE geometry in Alexandria.

Crystal structure
abc: 5.0058 5.0058 19.9212
angles: 90.00 90.00 90.00
Fractional positions:
Nd 0.0000 0.0000 0.0000
Nd 0.0000 0.0000 0.2486
Nd 0.0000 0.0000 0.5000
Nd 0.0000 0.0000 0.7514
Nd 0.0000 0.5000 0.1240
Nd 0.0000 0.5000 0.3741
Nd 0.0000 0.5000 0.6259
Nd 0.0000 0.5000 0.8760
Nd 0.5000 0.0000 0.1240
Nd 0.5000 0.0000 0.3741
Nd 0.5000 0.0000 0.6259
Nd 0.5000 0.0000 0.8760
Tl 0.5000 0.5000 0.2511
Tl 0.5000 0.5000 0.5000
Tl 0.5000 0.5000 0.7489
Bi 0.5000 0.5000 0.0000

The 6 most intense peaks (2θ from 10° to 90°), sorted by position:
2theta, d/Å, Rel. int.
31.0, 2.885, 100
35.9, 2.503, 34
36.1, 2.490, 17
51.8, 1.765, 24
61.5, 1.509, 29
61.7, 1.503, 14

---

[7]
Na5B6C4: calculated XRD peak list (copper Kα), based on the PBE geometry in Alexandria.

Crystal structure
abc: 7.5238 7.5238 8.9535
angles: 107.43 107.43 38.64
Fractional positions:
Na 0.0495 0.0495 0.2479
Na 0.1503 0.1504 0.7521
Na 0.2504 0.2478 0.2478
Na 0.3513 0.3486 0.7521
Na 0.4510 0.4487 0.2494
Na 0.5513 0.5490 0.7506
Na 0.6514 0.6487 0.2479
Na 0.7522 0.7496 0.7522
Na 0.8496 0.8497 0.2479
Na 0.9505 0.9505 0.7521
B 0.1334 0.4666 0.0000
B 0.1449 0.8551 0.5000
B 0.2394 0.5602 0.5000
B 0.3334 0.6666 0.0000
B 0.3617 0.0468 0.5000
B 0.4398 0.7606 0.5000
B 0.5334 0.8666 0.0000
B 0.5783 0.2201 0.5000
B 0.7334 0.0666 0.0000
B 0.7799 0.4217 0.5000
B 0.9334 0.2666 0.0000
B 0.9532 0.6383 0.5000
C 0.0357 0.3646 0.4999
C 0.0672 0.7327 0.9998
C 0.2673 0.9328 0.0002
C 0.4671 0.1329 0.0001
C 0.6354 0.9643 0.5001
C 0.6670 0.3330 0.0000
C 0.8358 0.1642 0.5000
C 0.8671 0.5329 0.9999

The 6 most intense peaks (2θ from 10° to 90°), sorted by position:
2theta, d/Å, Rel. int.
36.4, 2.467, 17
42.1, 2.147, 50
42.4, 2.133, 100
42.6, 2.123, 38
65.1, 1.433, 17
81.0, 1.188, 17

---

[8]
CuTeSe2: calculated XRD peak list (copper Kα), based on the PBE geometry in Alexandria.

Crystal structure
abc: 7.0998 7.0998 7.0998
angles: 31.75 31.75 31.75
Fractional positions:
Cu 0.0000 0.0000 0.0000
Te 0.7466 0.7466 0.7466
Se 0.2834 0.2834 0.2834
Se 0.5038 0.5038 0.5038

The 6 most intense peaks (2θ from 10° to 90°), sorted by position:
2theta, d/Å, Rel. int.
32.0, 2.800, 100
34.7, 2.585, 13
44.9, 2.020, 26
46.8, 1.942, 39
57.8, 1.596, 18
77.4, 1.233, 15